Structure and simulated powder XRD pattern of CaPm6Y12 (a PBE-relaxed structure; Cu Ka).

Structural model:
a b c (Å): 15.7434 15.7434 8.8557
angles (deg): 90.00 90.00 120.00
Space group R-3 (No. 148, hexagonal axes)
Inequivalent atoms, fractional coordinates:
Ca 0.0000 0.0000 0.0000 x3
Pm 0.0344 0.2798 0.3298 x18
Y 0.0177 0.1419 0.6618 x18
Y 0.0669 0.5605 0.6672 x18

Largest 10 diffraction maxima, in order of rising 2θ, 10° ≤ 2θ ≤ 90°:
- d 7.872, intensity 6, (1 1 0)
- d 2.950, intensity 100, (3 2 1)
- d 2.555, intensity 50, (5 -3 2)
- d 1.806, intensity 35, (1 7 0)
- d 1.541, intensity 41, (10 -6 1)
- d 1.475, intensity 12, (6 4 2)
- d 1.277, intensity 5, (10 -6 4)
- d 1.173, intensity 4, (3 2 7)
- d 1.172, intensity 12, (11 1 1)
- d 1.143, intensity 15, (13 -4 2)



Structure and simulated powder XRD pattern of CaPm5Y3 (a PBE-relaxed structure; Cu Ka).

Structural model:
a b c (Å): 17.262 9.960 7.145
angles (deg): 90.00 90.00 90.00
Space group Cmcm (No. 63)
Inequivalent atoms, fractional coordinates:
Ca 0.000 0.183 0.250 x4
Pm 0.000 0.159 0.750 x4
Pm 0.155 0.349 0.750 x8
Pm 0.182 0.322 0.250 x8
Y 0.000 0.500 0.000 x4
Y 0.167 0.000 0.000 x8

Largest 10 diffraction maxima, in order of rising 2θ, 10° ≤ 2θ ≤ 90°:
- d 3.573, intensity 15, (0 0 2)
- d 2.967, intensity 14, (4 2 1)
- d 2.903, intensity 88, (3 1 2)
- d 2.876, intensity 100, (3 3 0)
- d 2.240, intensity 20, (3 3 2)
- d 2.043, intensity 29, (0 4 2)
- d 1.666, intensity 28, (6 4 2)
- d 1.661, intensity 16, (0 6 0)
- d 1.517, intensity 28, (3 3 4)
- d 1.216, intensity 11, (0 6 4)



Structure and simulated powder XRD pattern of CaPm3Y3 (a PBE-relaxed structure; Cu Ka).

Structural model:
a b c (Å): 6.906 8.633 9.421
angles (deg): 65.62 71.68 76.94
Space group P-1 (No. 2)
Inequivalent atoms, fractional coordinates:
Ca 0.046 0.196 0.008 x2
Pm 0.194 0.760 0.304 x2
Pm 0.236 0.957 0.557 x2
Pm 0.399 0.520 0.845 x2
Y 0.092 0.380 0.280 x2
Y 0.340 0.332 0.579 x2
Y 0.485 0.907 0.862 x2

Largest 10 diffraction maxima, in order of rising 2θ, 10° ≤ 2θ ≤ 90°:
- d 3.210, intensity 12, (0 1 -2)
- d 3.197, intensity 24, (-1 1 2)
- d 2.913, intensity 37, (2 2 2)
- d 2.814, intensity 26, (1 0 3)
- d 2.805, intensity 100, (1 2 -1)
- d 2.798, intensity 25, (0 3 1)
- d 2.158, intensity 12, (3 0 2)
- d 1.851, intensity 19, (1 -3 2)
- d 1.658, intensity 10, (2 5 3)
- d 1.561, intensity 16, (1 2 6)



Structure and simulated powder XRD pattern of CaPm5Y6 (a PBE-relaxed structure; Cu Ka).

Structural model:
a b c (Å): 11.996 10.887 6.287
angles (deg): 90.00 100.02 90.00
Space group C2/m (No. 12)
Inequivalent atoms, fractional coordinates:
Ca 0.000 0.000 0.000 x2
Pm 0.000 0.170 0.500 x4
Pm 0.000 0.338 0.000 x4
Pm 0.000 0.500 0.500 x2
Y 0.246 0.331 0.747 x8
Y 0.248 0.500 0.256 x4

Largest 10 diffraction maxima, in order of rising 2θ, 10° ≤ 2θ ≤ 90°:
- d 2.962, intensity 100, (2 0 -2)
- d 2.953, intensity 33, (4 0 0)
- d 2.564, intensity 67, (2 0 2)
- d 1.815, intensity 23, (1 3 -3)
- d 1.811, intensity 23, (6 0 -2)
- d 1.547, intensity 41, (0 0 4)
- d 1.544, intensity 14, (6 0 2)
- d 1.481, intensity 12, (4 0 -4)
- d 1.178, intensity 11, (3 3 -5)
- d 1.148, intensity 10, (1 3 5)



Structure and simulated powder XRD pattern of CaPm6Y8 (a PBE-relaxed structure; Cu Ka).

Structural model:
a b c (Å): 9.7832 9.7832 18.2145
angles (deg): 90.00 90.00 120.00
Space group R-3 (No. 148, hexagonal axes)
Inequivalent atoms, fractional coordinates:
Ca 0.0000 0.0000 0.0000 x3
Pm 0.0276 0.2362 0.4081 x18
Y 0.0000 0.0000 0.2381 x6
Y 0.0454 0.2763 0.9025 x18

Largest 10 diffraction maxima, in order of rising 2θ, 10° ≤ 2θ ≤ 90°:
- d 3.154, intensity 8, (3 -1 1)
- d 3.036, intensity 31, (0 0 6)
- d 3.021, intensity 100, (3 -2 2)
- d 2.619, intensity 68, (2 1 4)
- d 2.579, intensity 8, (2 -1 6)
- d 1.856, intensity 21, (3 -2 8)
- d 1.849, intensity 20, (1 4 0)
- d 1.583, intensity 8, (2 1 10)
- d 1.578, intensity 28, (4 2 2)
- d 1.510, intensity 9, (6 -4 4)



Structure and simulated powder XRD pattern of CaPm3Zn4 (a PBE-relaxed structure; Cu Ka).

Structural model:
a b c (Å): 5.163 5.163 7.362
angles (deg): 90.00 90.00 90.00
Space group P4/mmm (No. 123)
Inequivalent atoms, fractional coordinates:
Ca 0.000 0.000 0.000 x1
Pm 0.000 0.000 0.500 x1
Pm 0.500 0.500 0.000 x1
Pm 0.500 0.500 0.500 x1
Zn 0.000 0.500 0.251 x4

Largest 10 diffraction maxima, in order of rising 2θ, 10° ≤ 2θ ≤ 90°:
- d 3.651, intensity 8, (1 1 0)
- d 2.592, intensity 100, (1 1 2)
- d 2.582, intensity 49, (2 0 0)
- d 1.841, intensity 9, (0 0 4)
- d 1.826, intensity 17, (2 2 0)
- d 1.499, intensity 18, (2 0 4)
- d 1.493, intensity 35, (3 1 2)
- d 1.296, intensity 11, (2 2 4)
- d 1.163, intensity 8, (1 1 6)
- d 1.155, intensity 15, (4 2 0)



Structure and simulated powder XRD pattern of CaPr11 (a PBE-relaxed structure; Cu Ka).

Structural model:
a b c (Å): 11.7984 11.7984 3.6566
angles (deg): 90.00 90.00 120.00
Space group P6/mmm (No. 191)
Inequivalent atoms, fractional coordinates:
Ca 0.0000 0.0000 0.0000 x1
Pr 0.0000 0.5000 0.0000 x3
Pr 0.1758 0.3516 0.5000 x6
Pr 0.3333 0.6667 0.0000 x2

Largest 10 diffraction maxima, in order of rising 2θ, 10° ≤ 2θ ≤ 90°:
- d 3.443, intensity 13, (1 0 1)
- d 3.108, intensity 20, (1 1 1)
- d 2.973, intensity 46, (2 0 1)
- d 2.950, intensity 100, (2 2 0)
- d 2.655, intensity 30, (2 1 1)
- d 2.094, intensity 16, (4 0 1)
- d 1.708, intensity 17, (4 2 1)
- d 1.703, intensity 18, (6 0 0)
- d 1.554, intensity 29, (2 2 2)
- d 1.246, intensity 13, (6 0 2)



Structure and simulated powder XRD pattern of Ca7Pr (a PBE-relaxed structure; Cu Ka).

Structural model:
a b c (Å): 14.921 12.181 3.717
angles (deg): 90.00 104.41 90.00
Space group C2/m (No. 12)
Inequivalent atoms, fractional coordinates:
Ca 0.000 0.000 0.000 x2
Ca 0.126 0.241 0.627 x8
Ca 0.242 0.500 0.741 x4
Pr 0.000 0.500 0.000 x2

Largest 10 diffraction maxima, in order of rising 2θ, 10° ≤ 2θ ≤ 90°:
- d 3.190, intensity 19, (3 1 -1)
- d 3.103, intensity 100, (4 2 0)
- d 3.045, intensity 24, (0 4 0)
- d 2.943, intensity 24, (2 0 1)
- d 2.563, intensity 11, (1 3 1)
- d 2.116, intensity 17, (2 4 1)
- d 1.826, intensity 9, (6 4 -1)
- d 1.769, intensity 17, (4 6 0)
- d 1.730, intensity 11, (6 2 1)
- d 1.595, intensity 13, (6 2 -2)



Structure and simulated powder XRD pattern of Ca4Pr (a PBE-relaxed structure; Cu Ka).

Structural model:
a b c (Å): 3.8185 3.8185 47.8551
angles (deg): 90.00 90.00 120.00
Space group R-3m (No. 166, hexagonal axes)
Inequivalent atoms, fractional coordinates:
Ca 0.0000 0.0000 0.1014 x6
Ca 0.0000 0.0000 0.2997 x6
Pr 0.0000 0.0000 0.5000 x3

Largest 10 diffraction maxima, in order of rising 2θ, 10° ≤ 2θ ≤ 90°:
- d 7.976, intensity 29, (0 0 6)
- d 3.190, intensity 45, (0 0 15)
- d 3.126, intensity 100, (0 1 5)
- d 2.721, intensity 68, (1 0 10)
- d 1.939, intensity 24, (0 1 20)
- d 1.909, intensity 23, (1 1 0)
- d 1.657, intensity 14, (1 0 25)
- d 1.638, intensity 29, (1 1 15)
- d 1.629, intensity 13, (2 0 5)
- d 1.563, intensity 12, (0 2 10)



Structure and simulated powder XRD pattern of CaPr8 (a PBE-relaxed structure; Cu Ka).

Structural model:
a b c (Å): 11.165 11.165 5.299
angles (deg): 90.00 90.00 90.00
Space group I4/mmm (No. 139)
Inequivalent atoms, fractional coordinates:
Ca 0.000 0.000 0.000 x2
Pr 0.000 0.336 0.000 x8
Pr 0.171 0.171 0.500 x8

Largest 10 diffraction maxima, in order of rising 2θ, 10° ≤ 2θ ≤ 90°:
- d 3.046, intensity 100, (3 0 1)
- d 2.650, intensity 17, (0 0 2)
- d 2.632, intensity 33, (3 3 0)
- d 1.867, intensity 24, (3 3 2)
- d 1.861, intensity 12, (6 0 0)
- d 1.596, intensity 15, (3 0 3)
- d 1.588, intensity 28, (6 3 1)
- d 1.523, intensity 12, (6 0 2)
- d 1.211, intensity 11, (6 3 3)
- d 1.208, intensity 6, (9 0 1)



Structure and simulated powder XRD pattern of Ca2PrPuTe4 (a PBE-relaxed structure; Cu Ka).

Structural model:
a b c (Å): 6.371 6.371 12.740
angles (deg): 90.00 90.00 90.00
Space group I-4m2 (No. 119)
Inequivalent atoms, fractional coordinates:
Ca 0.000 0.000 0.000 x2
Ca 0.000 0.500 0.250 x2
Pr 0.000 0.000 0.500 x2
Pu 0.000 0.500 0.750 x2
Te 0.000 0.000 0.247 x4
Te 0.000 0.500 0.000 x4

Largest 10 diffraction maxima, in order of rising 2θ, 10° ≤ 2θ ≤ 90°:
- d 5.698, intensity 25, (1 0 1)
- d 3.534, intensity 9, (1 0 3)
- d 3.185, intensity 100, (2 0 0)
- d 2.780, intensity 9, (2 1 1)
- d 2.366, intensity 9, (2 1 3)
- d 2.252, intensity 76, (2 2 0)
- d 1.839, intensity 27, (2 2 4)
- d 1.593, intensity 13, (4 0 0)
- d 1.424, intensity 35, (4 2 0)
- d 1.300, intensity 26, (4 2 4)



Structure and simulated powder XRD pattern of CaPr2Zr2Rh5 (a PBE-relaxed structure; Cu Ka).

Structural model:
a b c (Å): 10.793 10.793 3.673
angles (deg): 90.00 90.00 90.00
Space group P4/mbm (No. 127)
Inequivalent atoms, fractional coordinates:
Ca 0.000 0.000 0.000 x2
Pr 0.177 0.323 0.000 x4
Zr 0.124 0.624 0.000 x4
Rh 0.000 0.500 0.500 x2
Rh 0.060 0.790 0.500 x8

Largest 10 diffraction maxima, in order of rising 2θ, 10° ≤ 2θ ≤ 90°:
- d 7.632, intensity 22, (1 1 0)
- d 2.923, intensity 20, (2 1 1)
- d 2.646, intensity 25, (2 2 1)
- d 2.618, intensity 68, (4 1 0)
- d 2.544, intensity 35, (3 3 0)
- d 2.500, intensity 100, (3 1 1)
- d 2.320, intensity 50, (3 2 1)
- d 2.174, intensity 30, (4 0 1)
- d 1.836, intensity 24, (0 0 2)
- d 1.503, intensity 24, (4 1 2)



Structure and simulated powder XRD pattern of Ca3PrS4 (a PBE-relaxed structure; Cu Ka).

Structural model:
a b c (Å): 5.737 5.737 11.475
angles (deg): 90.00 90.00 90.00
Space group I4/mmm (No. 139)
Inequivalent atoms, fractional coordinates:
Ca 0.000 0.000 0.000 x2
Ca 0.000 0.500 0.250 x4
Pr 0.000 0.000 0.500 x2
S 0.000 0.000 0.248 x4
S 0.000 0.500 0.000 x4

Largest 10 diffraction maxima, in order of rising 2θ, 10° ≤ 2θ ≤ 90°:
- d 5.131, intensity 32, (1 0 1)
- d 3.312, intensity 21, (1 1 2)
- d 3.183, intensity 11, (1 0 3)
- d 2.868, intensity 100, (2 0 0)
- d 2.504, intensity 11, (2 1 1)
- d 2.131, intensity 11, (2 1 3)
- d 2.028, intensity 69, (2 2 0)
- d 1.656, intensity 23, (2 2 4)
- d 1.283, intensity 29, (4 2 0)
- d 1.171, intensity 22, (4 2 4)